Record 1
This entry pairs a crystal structure of Sm3Y2Mg3 with its simulated X-ray diffraction stick pattern. Radiation: λ = 1.5418 Å (Cu Kα). Structure: a cell relaxed with PBE.
Intensities are scaled so that the largest is 100.

The 12 most intense peaks (2θ from 10° to 90°), by intensity:
2θ = 32.7°, rel. 100; 2θ = 25.5°, rel. 28; 2θ = 32.4°, rel. 27; 2θ = 31.7°, rel. 24; 2θ = 23.7°, rel. 23; 2θ = 19.9°, rel. 22; 2θ = 58.0°, rel. 19; 2θ = 46.0°, rel. 17; 2θ = 55.0°, rel. 15; 2θ = 57.1°, rel. 15; 2θ = 40.6°, rel. 11; 2θ = 68.6°, rel. 10

```
data_Sm3Y2Mg3
_chemical_formula_sum 'Sm3 Y2 Mg3'
_cell_length_a 11.774
_cell_length_b 11.774
_cell_length_c 11.774
_cell_angle_alpha 161.42
_cell_angle_beta 152.88
_cell_angle_gamma 33.07
_symmetry_space_group_name_H-M 'P 1'
_symmetry_Int_Tables_number 1
_symmetry_space_group_name_Hall 'P 1'
loop_
_atom_site_label
_atom_site_fract_x
_atom_site_fract_y
_atom_site_fract_z
Sm1 0.000 0.000 0.000
Sm2 0.375 0.875 0.500
Sm3 0.625 0.125 0.500
Y1 0.235 0.235 0.000
Y2 0.765 0.765 0.000
Mg1 0.118 0.618 0.500
Mg2 0.500 0.500 0.000
Mg3 0.882 0.382 0.500
```


Record 2
This entry pairs a crystal structure of LiAl2H4Pb2O4F6 with its simulated X-ray diffraction stick pattern. Radiation: λ = 1.5418 Å (Cu Kα). Structure: a cell relaxed with PBE.
Intensities are scaled so that the largest is 100.

The 12 most intense peaks (2θ from 10° to 90°), by intensity:
2θ = 18.4°, rel. 100; 2θ = 23.4°, rel. 77; 2θ = 14.3°, rel. 72; 2θ = 26.5°, rel. 64; 2θ = 20.5°, rel. 49; 2θ = 22.4°, rel. 48; 2θ = 26.8°, rel. 46; 2θ = 34.5°, rel. 44; 2θ = 35.6°, rel. 40; 2θ = 29.2°, rel. 40; 2θ = 37.1°, rel. 37; 2θ = 47.4°, rel. 37

```
data_LiAl2H4Pb2O4F6
_chemical_formula_sum 'Li1 Al2 H4 Pb2 O4 F6'
_cell_length_a 4.946
_cell_length_b 7.355
_cell_length_c 7.448
_cell_angle_alpha 113.03
_cell_angle_beta 97.30
_cell_angle_gamma 97.11
_symmetry_space_group_name_H-M 'P 1'
_symmetry_Int_Tables_number 1
_symmetry_space_group_name_Hall 'P 1'
loop_
_atom_site_label
_atom_site_fract_x
_atom_site_fract_y
_atom_site_fract_z
Li1 0.000 0.000 0.000
Al1 0.348 0.313 0.332
Al2 0.652 0.687 0.668
H1 0.178 0.496 0.659
H2 0.244 0.847 0.625
H3 0.756 0.153 0.375
H4 0.822 0.504 0.341
Pb1 0.408 0.765 0.243
Pb2 0.592 0.235 0.757
O1 0.353 0.469 0.610
O2 0.433 0.853 0.591
O3 0.567 0.147 0.409
O4 0.647 0.531 0.390
F1 0.044 0.122 0.291
F2 0.109 0.458 0.258
F3 0.363 0.179 0.072
F4 0.637 0.821 0.928
F5 0.891 0.542 0.742
F6 0.956 0.878 0.709
```


Record 3
This entry pairs a crystal structure of Pm2Mg6Zn3 with its simulated X-ray diffraction stick pattern. Radiation: λ = 1.5418 Å (Cu Kα). Structure: a cell relaxed with PBE.
Intensities are scaled so that the largest is 100.

The 12 most intense peaks (2θ from 10° to 90°), by intensity:
2θ = 29.8°, rel. 100; 2θ = 12.3°, rel. 39; 2θ = 37.4°, rel. 35; 2θ = 39.1°, rel. 31; 2θ = 32.3°, rel. 29; 2θ = 21.4°, rel. 26; 2θ = 62.9°, rel. 22; 2θ = 57.3°, rel. 20; 2θ = 32.9°, rel. 20; 2θ = 48.6°, rel. 17; 2θ = 41.8°, rel. 16; 2θ = 69.0°, rel. 14

```
data_Pm2Mg6Zn3
_chemical_formula_sum 'Pm2 Mg6 Zn3'
_cell_length_a 8.320
_cell_length_b 8.320
_cell_length_c 4.323
_cell_angle_alpha 90.00
_cell_angle_beta 90.00
_cell_angle_gamma 120.00
_symmetry_space_group_name_H-M 'P 1'
_symmetry_Int_Tables_number 1
_symmetry_space_group_name_Hall 'P 1'
loop_
_atom_site_label
_atom_site_fract_x
_atom_site_fract_y
_atom_site_fract_z
Pm1 0.333 0.667 0.000
Pm2 0.667 0.333 0.000
Mg1 0.000 0.209 0.000
Mg2 0.000 0.710 0.500
Mg3 0.209 0.000 0.000
Mg4 0.290 0.290 0.500
Mg5 0.710 0.000 0.500
Mg6 0.791 0.791 0.000
Zn1 0.000 0.394 0.500
Zn2 0.394 0.000 0.500
Zn3 0.606 0.606 0.500
```


Record 4
This entry pairs a crystal structure of AcMgCo2H6 with its simulated X-ray diffraction stick pattern. Radiation: λ = 1.5418 Å (Cu Kα). Structure: a cell relaxed with PBE.
Intensities are scaled so that the largest is 100.

The 12 most intense peaks (2θ from 10° to 90°), by intensity:
2θ = 23.1°, rel. 100; 2θ = 31.8°, rel. 76; 2θ = 39.3°, rel. 67; 2θ = 36.1°, rel. 64; 2θ = 52.7°, rel. 32; 2θ = 66.6°, rel. 32; 2θ = 25.1°, rel. 30; 2θ = 51.4°, rel. 24; 2θ = 54.4°, rel. 19; 2θ = 69.2°, rel. 19; 2θ = 46.1°, rel. 18; 2θ = 33.6°, rel. 17

```
data_AcMgCo2H6
_chemical_formula_sum 'Ac1 Mg1 Co2 H6'
_cell_length_a 5.949
_cell_length_b 5.949
_cell_length_c 5.949
_cell_angle_alpha 45.28
_cell_angle_beta 45.28
_cell_angle_gamma 45.28
_symmetry_space_group_name_H-M 'P 1'
_symmetry_Int_Tables_number 1
_symmetry_space_group_name_Hall 'P 1'
loop_
_atom_site_label
_atom_site_fract_x
_atom_site_fract_y
_atom_site_fract_z
Ac1 0.000 0.000 0.000
Mg1 0.500 0.500 0.500
Co1 0.203 0.203 0.203
Co2 0.797 0.797 0.797
H1 0.057 0.582 0.582
H2 0.418 0.418 0.943
H3 0.418 0.943 0.418
H4 0.582 0.057 0.582
H5 0.582 0.582 0.057
H6 0.943 0.418 0.418
```


Record 5
This entry pairs a crystal structure of TmBe17Re with its simulated X-ray diffraction stick pattern. Radiation: λ = 1.5418 Å (Cu Kα). Structure: a cell relaxed with PBE.
Intensities are scaled so that the largest is 100.

The 12 most intense peaks (2θ from 10° to 90°), by intensity:
2θ = 23.9°, rel. 100; 2θ = 34.6°, rel. 90; 2θ = 16.0°, rel. 66; 2θ = 49.4°, rel. 42; 2θ = 24.7°, rel. 31; 2θ = 42.1°, rel. 30; 2θ = 21.4°, rel. 27; 2θ = 72.1°, rel. 23; 2θ = 49.0°, rel. 22; 2θ = 28.9°, rel. 20; 2θ = 37.9°, rel. 19; 2θ = 56.7°, rel. 17

```
data_TmBe17Re
_chemical_formula_sum 'Tm1 Be17 Re1'
_cell_length_a 5.609
_cell_length_b 5.609
_cell_length_c 5.609
_cell_angle_alpha 83.03
_cell_angle_beta 83.03
_cell_angle_gamma 83.03
_symmetry_space_group_name_H-M 'P 1'
_symmetry_Int_Tables_number 1
_symmetry_space_group_name_Hall 'P 1'
loop_
_atom_site_label
_atom_site_fract_x
_atom_site_fract_y
_atom_site_fract_z
Tm1 0.000 0.000 0.000
Be1 0.044 0.347 0.629
Be2 0.044 0.629 0.347
Be3 0.189 0.680 0.680
Be4 0.248 0.248 0.248
Be5 0.340 0.340 0.841
Be6 0.340 0.841 0.340
Be7 0.347 0.044 0.629
Be8 0.347 0.629 0.044
Be9 0.443 0.443 0.443
Be10 0.506 0.990 0.990
Be11 0.629 0.044 0.347
Be12 0.629 0.347 0.044
Be13 0.680 0.189 0.680
Be14 0.680 0.680 0.189
Be15 0.841 0.340 0.340
Be16 0.990 0.506 0.990
Be17 0.990 0.990 0.506
Re1 0.676 0.676 0.676
```


Record 6
This entry pairs a crystal structure of Y2Mn5Co12 with its simulated X-ray diffraction stick pattern. Radiation: λ = 1.5418 Å (Cu Kα). Structure: a cell relaxed with PBE.
Intensities are scaled so that the largest is 100.

The 12 most intense peaks (2θ from 10° to 90°), by intensity:
2θ = 44.1°, rel. 100; 2θ = 43.8°, rel. 59; 2θ = 49.6°, rel. 46; 2θ = 44.9°, rel. 43; 2θ = 37.7°, rel. 33; 2θ = 39.0°, rel. 32; 2θ = 64.6°, rel. 20; 2θ = 63.9°, rel. 20; 2θ = 31.0°, rel. 18; 2θ = 80.5°, rel. 16; 2θ = 82.3°, rel. 15; 2θ = 72.5°, rel. 14

```
data_Y2Mn5Co12
_chemical_formula_sum 'Y2 Mn5 Co12'
_cell_length_a 6.250
_cell_length_b 6.250
_cell_length_c 6.250
_cell_angle_alpha 82.83
_cell_angle_beta 82.83
_cell_angle_gamma 82.83
_symmetry_space_group_name_H-M 'P 1'
_symmetry_Int_Tables_number 1
_symmetry_space_group_name_Hall 'P 1'
loop_
_atom_site_label
_atom_site_fract_x
_atom_site_fract_y
_atom_site_fract_z
Y1 0.152 0.152 0.152
Y2 0.848 0.848 0.848
Mn1 0.000 0.500 0.500
Mn2 0.409 0.409 0.409
Mn3 0.500 0.000 0.500
Mn4 0.500 0.500 0.000
Mn5 0.591 0.591 0.591
Co1 0.157 0.157 0.644
Co2 0.157 0.644 0.157
Co3 0.210 0.500 0.790
Co4 0.210 0.791 0.500
Co5 0.356 0.843 0.843
Co6 0.500 0.210 0.790
Co7 0.500 0.790 0.210
Co8 0.644 0.157 0.157
Co9 0.790 0.210 0.500
Co10 0.790 0.500 0.210
Co11 0.843 0.356 0.843
Co12 0.843 0.843 0.356
```


Record 7
This entry pairs a crystal structure of SrTmBi2O8 with its simulated X-ray diffraction stick pattern. Radiation: λ = 1.5418 Å (Cu Kα). Structure: a cell relaxed with PBE.
Intensities are scaled so that the largest is 100.

The 12 most intense peaks (2θ from 10° to 90°), by intensity:
2θ = 27.8°, rel. 100; 2θ = 46.0°, rel. 33; 2θ = 55.1°, rel. 32; 2θ = 32.5°, rel. 22; 2θ = 46.6°, rel. 16; 2θ = 54.1°, rel. 16; 2θ = 74.1°, rel. 13; 2θ = 31.7°, rel. 13; 2θ = 57.5°, rel. 11; 2θ = 17.9°, rel. 10; 2θ = 86.1°, rel. 10; 2θ = 75.0°, rel. 7

```
data_SrTmBi2O8
_chemical_formula_sum 'Sr1 Tm1 Bi2 O8'
_cell_length_a 6.861
_cell_length_b 6.861
_cell_length_c 6.861
_cell_angle_alpha 132.63
_cell_angle_beta 132.63
_cell_angle_gamma 69.23
_symmetry_space_group_name_H-M 'P 1'
_symmetry_Int_Tables_number 1
_symmetry_space_group_name_Hall 'P 1'
loop_
_atom_site_label
_atom_site_fract_x
_atom_site_fract_y
_atom_site_fract_z
Sr1 0.000 0.000 0.000
Tm1 0.250 0.750 0.500
Bi1 0.500 0.500 0.000
Bi2 0.750 0.250 0.500
O1 0.061 0.100 0.477
O2 0.210 0.649 0.065
O3 0.351 0.416 0.561
O4 0.416 0.939 0.039
O5 0.584 0.145 0.935
O6 0.623 0.584 0.523
O7 0.855 0.790 0.439
O8 0.900 0.377 0.961
```


Record 8
This entry pairs a crystal structure of AcLa2Pr5Nd with its simulated X-ray diffraction stick pattern. Radiation: λ = 1.5418 Å (Cu Kα). Structure: a cell relaxed with PBE.
Intensities are scaled so that the largest is 100.

The 12 most intense peaks (2θ from 10° to 90°), by intensity:
2θ = 29.4°, rel. 100; 2θ = 27.8°, rel. 52; 2θ = 27.4°, rel. 32; 2θ = 50.2°, rel. 28; 2θ = 53.0°, rel. 15; 2θ = 33.1°, rel. 15; 2θ = 57.5°, rel. 13; 2θ = 36.1°, rel. 13; 2θ = 44.1°, rel. 12; 2θ = 41.3°, rel. 11; 2θ = 35.2°, rel. 9; 2θ = 56.5°, rel. 8

```
data_AcLa2Pr5Nd
_chemical_formula_sum 'Ac2 La4 Pr10 Nd2'
_cell_length_a 10.416
_cell_length_b 10.416
_cell_length_c 10.416
_cell_angle_alpha 128.40
_cell_angle_beta 128.40
_cell_angle_gamma 75.98
_symmetry_space_group_name_H-M 'P 1'
_symmetry_Int_Tables_number 1
_symmetry_space_group_name_Hall 'P 1'
loop_
_atom_site_label
_atom_site_fract_x
_atom_site_fract_y
_atom_site_fract_z
Ac1 0.250 0.750 0.500
Ac2 0.750 0.250 0.500
La1 0.116 0.616 0.733
La2 0.384 0.116 0.500
La3 0.616 0.884 0.500
La4 0.884 0.384 0.267
Pr1 0.000 0.000 0.000
Pr2 0.079 0.147 0.500
Pr3 0.147 0.647 0.068
Pr4 0.353 0.421 0.500
Pr5 0.421 0.921 0.068
Pr6 0.500 0.500 0.000
Pr7 0.579 0.079 0.932
Pr8 0.647 0.579 0.500
Pr9 0.853 0.353 0.932
Pr10 0.921 0.853 0.500
Nd1 0.250 0.250 0.000
Nd2 0.750 0.750 0.000
```


Record 9
This entry pairs a crystal structure of KRhAu2 with its simulated X-ray diffraction stick pattern. Radiation: λ = 1.5418 Å (Cu Kα). Structure: a cell relaxed with PBE.
Intensities are scaled so that the largest is 100.

The 12 most intense peaks (2θ from 10° to 90°), by intensity:
2θ = 12.5°, rel. 100; 2θ = 36.0°, rel. 75; 2θ = 30.7°, rel. 46; 2θ = 45.2°, rel. 46; 2θ = 19.8°, rel. 38; 2θ = 40.3°, rel. 31; 2θ = 41.5°, rel. 29; 2θ = 42.7°, rel. 29; 2θ = 33.7°, rel. 23; 2θ = 45.1°, rel. 18; 2θ = 35.3°, rel. 16; 2θ = 61.9°, rel. 14

```
data_KRhAu2
_chemical_formula_sum 'K1 Rh1 Au2'
_cell_length_a 4.713
_cell_length_b 4.713
_cell_length_c 7.113
_cell_angle_alpha 95.10
_cell_angle_beta 95.10
_cell_angle_gamma 34.91
_symmetry_space_group_name_H-M 'P 1'
_symmetry_Int_Tables_number 1
_symmetry_space_group_name_Hall 'P 1'
loop_
_atom_site_label
_atom_site_fract_x
_atom_site_fract_y
_atom_site_fract_z
K1 0.000 0.000 0.000
Rh1 0.500 0.500 0.500
Au1 0.238 0.238 0.681
Au2 0.762 0.762 0.319
```


Record 10
This entry pairs a crystal structure of Hf4FeIr with its simulated X-ray diffraction stick pattern. Radiation: λ = 1.5418 Å (Cu Kα). Structure: a cell relaxed with PBE.
Intensities are scaled so that the largest is 100.

The 12 most intense peaks (2θ from 10° to 90°), by intensity:
2θ = 34.5°, rel. 100; 2θ = 39.4°, rel. 66; 2θ = 36.0°, rel. 57; 2θ = 35.5°, rel. 55; 2θ = 39.3°, rel. 55; 2θ = 61.3°, rel. 33; 2θ = 48.7°, rel. 28; 2θ = 39.1°, rel. 27; 2θ = 72.9°, rel. 21; 2θ = 38.6°, rel. 19; 2θ = 82.0°, rel. 18; 2θ = 29.6°, rel. 18

```
data_Hf4FeIr
_chemical_formula_sum 'Hf8 Fe2 Ir2'
_cell_length_a 5.394
_cell_length_b 6.043
_cell_length_c 7.481
_cell_angle_alpha 90.00
_cell_angle_beta 109.43
_cell_angle_gamma 90.00
_symmetry_space_group_name_H-M 'P 1'
_symmetry_Int_Tables_number 1
_symmetry_space_group_name_Hall 'P 1'
loop_
_atom_site_label
_atom_site_fract_x
_atom_site_fract_y
_atom_site_fract_z
Hf1 0.027 0.001 0.266
Hf2 0.027 0.499 0.266
Hf3 0.405 0.250 0.064
Hf4 0.428 0.250 0.641
Hf5 0.572 0.750 0.359
Hf6 0.595 0.750 0.936
Hf7 0.973 0.501 0.734
Hf8 0.973 0.999 0.734
Fe1 0.177 0.750 0.033
Fe2 0.823 0.250 0.967
Ir1 0.281 0.750 0.582
Ir2 0.719 0.250 0.418
```


Record 11
This entry pairs a crystal structure of BaY3Ru with its simulated X-ray diffraction stick pattern. Radiation: λ = 1.5418 Å (Cu Kα). Structure: a cell relaxed with PBE.
Intensities are scaled so that the largest is 100.

The 12 most intense peaks (2θ from 10° to 90°), by intensity:
2θ = 29.4°, rel. 100; 2θ = 39.2°, rel. 29; 2θ = 14.3°, rel. 22; 2θ = 50.8°, rel. 21; 2θ = 28.4°, rel. 18; 2θ = 30.7°, rel. 17; 2θ = 10.9°, rel. 16; 2θ = 35.6°, rel. 14; 2θ = 60.9°, rel. 14; 2θ = 44.6°, rel. 12; 2θ = 26.6°, rel. 11; 2θ = 42.2°, rel. 11

```
data_BaY3Ru
_chemical_formula_sum 'Ba4 Y12 Ru4'
_cell_length_a 6.292
_cell_length_b 16.248
_cell_length_c 6.713
_cell_angle_alpha 90.00
_cell_angle_beta 90.00
_cell_angle_gamma 90.00
_symmetry_space_group_name_H-M 'P 1'
_symmetry_Int_Tables_number 1
_symmetry_space_group_name_Hall 'P 1'
loop_
_atom_site_label
_atom_site_fract_x
_atom_site_fract_y
_atom_site_fract_z
Ba1 0.000 0.000 0.000
Ba2 0.000 0.500 0.000
Ba3 0.500 0.000 0.500
Ba4 0.500 0.500 0.500
Y1 0.000 0.138 0.447
Y2 0.000 0.362 0.447
Y3 0.000 0.638 0.553
Y4 0.000 0.862 0.553
Y5 0.001 0.250 0.916
Y6 0.499 0.750 0.416
Y7 0.500 0.138 0.053
Y8 0.500 0.362 0.053
Y9 0.500 0.638 0.947
Y10 0.500 0.862 0.947
Y11 0.501 0.250 0.584
Y12 0.999 0.750 0.084
Ru1 0.249 0.750 0.750
Ru2 0.251 0.250 0.250
Ru3 0.749 0.750 0.750
Ru4 0.751 0.250 0.250
```


Record 12
This entry pairs a crystal structure of NpSi4Ni2 with its simulated X-ray diffraction stick pattern. Radiation: λ = 1.5418 Å (Cu Kα). Structure: a cell relaxed with PBE.
Intensities are scaled so that the largest is 100.

The 12 most intense peaks (2θ from 10° to 90°), by intensity:
2θ = 38.5°, rel. 100; 2θ = 38.1°, rel. 66; 2θ = 25.1°, rel. 61; 2θ = 15.2°, rel. 50; 2θ = 40.2°, rel. 44; 2θ = 21.3°, rel. 34; 2θ = 35.9°, rel. 31; 2θ = 46.3°, rel. 30; 2θ = 27.4°, rel. 29; 2θ = 63.0°, rel. 26; 2θ = 56.5°, rel. 25; 2θ = 39.5°, rel. 25

```
data_NpSi4Ni2
_chemical_formula_sum 'Np4 Si16 Ni8'
_cell_length_a 16.823
_cell_length_b 3.922
_cell_length_c 6.213
_cell_angle_alpha 90.00
_cell_angle_beta 90.00
_cell_angle_gamma 90.00
_symmetry_space_group_name_H-M 'P 1'
_symmetry_Int_Tables_number 1
_symmetry_space_group_name_Hall 'P 1'
loop_
_atom_site_label
_atom_site_fract_x
_atom_site_fract_y
_atom_site_fract_z
Np1 0.140 0.250 0.018
Np2 0.360 0.750 0.518
Np3 0.640 0.250 0.482
Np4 0.860 0.750 0.982
Si1 0.025 0.750 0.131
Si2 0.067 0.250 0.526
Si3 0.182 0.750 0.704
Si4 0.205 0.750 0.295
Si5 0.295 0.250 0.795
Si6 0.318 0.250 0.204
Si7 0.433 0.750 0.026
Si8 0.475 0.250 0.631
Si9 0.525 0.750 0.369
Si10 0.567 0.250 0.974
Si11 0.682 0.750 0.796
Si12 0.705 0.750 0.205
Si13 0.795 0.250 0.705
Si14 0.818 0.250 0.296
Si15 0.933 0.750 0.474
Si16 0.975 0.250 0.869
Ni1 0.032 0.750 0.737
Ni2 0.205 0.250 0.499
Ni3 0.295 0.750 0.999
Ni4 0.468 0.250 0.237
Ni5 0.532 0.750 0.763
Ni6 0.705 0.250 0.001
Ni7 0.795 0.750 0.501
Ni8 0.968 0.250 0.263
```


> Which formula does entry 3 have?

Pm2Mg6Zn3


> Which formula does entry 8 have?

AcLa2Pr5Nd